1.
Structure and theoretical X-ray diffraction stick pattern of HoCuPtRh (DFT lattice parameters and positions (GGA-PBE); Cu Kα (weighted mean of Kα1 and Kα2)).
Intensities are scaled so that the largest is 100.

Top 12 peaks for 2θ from 10° to 80°, low angle first:
h k l  Position (°2θ)  d [Å]  intensity
0 1 0  21.89  4.061  12
1 0 1  31.45  2.845  10
1 1 1  38.65  2.330  100
0 0 2  43.04  2.101  18
0 2 0  44.63  2.030  17
2 0 0  47.03  1.932  14
1 2 1  55.61  1.653  4
0 2 2  63.74  1.460  11
2 0 2  65.64  1.422  10
2 2 0  66.84  1.400  10
1 1 3  75.96  1.253  14
1 3 1  78.21  1.222  13

Structural model:
```
4
Lattice="3.8644 0.0000 0.0000 0.0000 4.0608 0.0000 0.0000 0.0000 4.2027" Properties=species:S:1:pos:R:3 pbc="T T T"
Ho 0.0000 0.0000 0.0000
Cu 0.0000 2.0304 2.1014
Pt 1.9322 0.0000 2.1014
Rh 1.9322 2.0304 0.0000
```

2.
Structure and theoretical X-ray diffraction stick pattern of Sb2XeF12 (DFT lattice parameters and positions (GGA-PBE); Cu Kα (weighted mean of Kα1 and Kα2)).
Intensities are scaled so that the largest is 100.

Top 12 peaks for 2θ from 10° to 80°, low angle first:
h k l  Position (°2θ)  d [Å]  intensity
0 1 1  14.33  6.179  59
1 0 1  18.67  4.751  97
0 2 1  21.38  4.156  29
1 2 0  22.08  4.026  67
0 0 2  22.22  4.000  41
1 0 -2  22.39  3.971  33
1 2 -1  23.21  3.833  100
2 0 -1  24.34  3.657  46
1 2 1  26.22  3.399  32
2 2 0  30.97  2.887  36
2 2 2  42.34  2.135  31
2 4 -3  52.72  1.736  31

Structural model:
```
30
Lattice="7.4441 0.0000 0.0000 0.0000 9.7268 0.0000 -2.2043 0.0000 8.0002" Properties=species:S:1:pos:R:3 pbc="T T T"
Sb -0.0060 0.0000 1.1996
Sb 0.7937 7.1723 5.5743
Sb 4.4461 2.3089 2.4259
Sb 5.2458 4.8634 6.8006
Xe 0.7242 2.3370 5.6921
Xe 4.5155 7.2004 2.3081
F -0.9621 3.8913 5.5325
F -0.8486 6.3837 6.6871
F -0.1183 6.4770 4.0563
F 1.0164 1.0848 0.0413
F 1.0989 4.1884 0.1829
F -0.2671 8.7459 5.4771
F 0.7257 0.7491 2.7724
F 1.1597 8.2421 1.2099
F 1.5606 5.4549 5.8749
F 1.4240 7.7259 7.2762
F 2.2580 7.8550 4.5868
F 3.0573 5.8603 2.2155
F 2.1825 0.9969 5.7847
F 2.9817 2.9916 3.4133
F 3.8157 2.8625 0.7240
F 3.6791 0.5915 2.1253
F 4.0801 3.3787 6.7903
F 4.5140 5.6125 5.2277
F 5.5068 3.8825 2.5231
F 4.1409 9.0518 7.8173
F 4.2233 5.9481 7.9588
F 6.0883 1.5203 1.3131
F 5.3580 1.6136 3.9439
F 6.2019 8.7547 2.4677
```

What is the formula in the second record?
Sb2XeF12